(1)
# NaLi2PuCl8
Theoretical powder X-ray diffraction pattern, Cu Kα (weighted mean of Kα1 and Kα2). Input: a structure optimized by DFT (GGA-PBE).

Top 8 peaks for 2θ = 10–80°, low angle first:
2θ 10.87, I = 81, (0 0 1)
2θ 13.36, I = 76, (0 1 0)
2θ 14.29, I = 100, (0 1 1)
2θ 17.48, I = 55, (1 1 0)
2θ 21.48, I = 32, (1 -1 0)
2θ 21.82, I = 36, (0 0 2)
2θ 30.17, I = 32, (1 2 2)
2θ 30.91, I = 33, (1 1 -2)

Cell and atoms:
```
data_NaLi2PuCl8
_chemical_formula_sum 'Na1 Li2 Pu1 Cl8'
_symmetry_space_group_name_H-M 'P -1'
_symmetry_Int_Tables_number 2
_cell_length_a 6.3494
_cell_length_b 7.1297
_cell_length_c 8.5851
_cell_angle_alpha 71.65
_cell_angle_beta 88.49
_cell_angle_gamma 78.48
loop_
_symmetry_equiv_pos_as_xyz
'x,y,z'
'-x,-y,-z'
loop_
_atom_site_label
_atom_site_type_symbol
_atom_site_fract_x
_atom_site_fract_y
_atom_site_fract_z
_atom_site_occupancy
Na1 Na 0.0000 0.0000 0.0000 1
Li1 Li 0.4764 0.3655 0.1652 1
Pu1 Pu 0.0000 0.0000 0.5000 1
Cl1 Cl 0.1696 0.1767 0.6562 1
Cl2 Cl 0.1737 0.1751 0.2349 1
Cl3 Cl 0.3231 0.7105 0.5716 1
Cl4 Cl 0.3539 0.7103 0.0556 1
```

=====

(2)
# NaLiSm2Cl8
Theoretical powder X-ray diffraction pattern, Cu Kα (weighted mean of Kα1 and Kα2). Input: a structure optimized by DFT (GGA-PBE).

Top 8 peaks for 2θ = 10–80°, low angle first:
2θ 13.69, I = 100, (0 0 1)
2θ 18.58, I = 47, (1 0 -1)
2θ 20.21, I = 36, (1 0 1)
2θ 25.54, I = 31, (1 2 0)
2θ 28.53, I = 64, (1 2 -1)
2θ 37.11, I = 21, (2 2 -1)
2θ 38.83, I = 32, (2 2 1)
2θ 43.74, I = 24, (0 4 0)

Cell and atoms:
```
data_NaLiSm2Cl8
_chemical_formula_sum 'Na1 Li1 Sm2 Cl8'
_symmetry_space_group_name_H-M 'P 1 2/m 1'
_symmetry_Int_Tables_number 10
_cell_length_a 6.4682
_cell_length_b 8.2828
_cell_length_c 6.5087
_cell_angle_alpha 90.00
_cell_angle_beta 94.77
_cell_angle_gamma 90.00
loop_
_symmetry_equiv_pos_as_xyz
'x,y,z'
'-x,-y,-z'
'-x,y,-z'
'x,-y,z'
loop_
_atom_site_label
_atom_site_type_symbol
_atom_site_fract_x
_atom_site_fract_y
_atom_site_fract_z
_atom_site_occupancy
Na1 Na 0.0000 0.0000 0.0000 1
Li1 Li 0.0000 0.5000 0.0000 1
Sm1 Sm 0.5000 0.2536 0.5000 1
Cl1 Cl 0.2004 0.2674 0.1921 1
Cl2 Cl 0.3031 0.5000 0.6870 1
Cl3 Cl 0.3086 0.0000 0.6823 1
```